# 1
This entry pairs a crystal structure of Pm2ZnPb with its computed powder XRD pattern. Radiation: a wavelength of 1.5418 Å. Structure: the PBE geometry in the Materials Project.
No peak broadening, texture or thermal motion is included.

Peak list (10 most intense, 15° ≤ 2θ ≤ 90°, in order of rising 2θ)
| d_spacing | Position (°2θ) | I_rel |
| --- | --- | --- |
| 4.391 | 20.22 | 12 |
| 2.689 | 33.32 | 100 |
| 2.293 | 39.29 | 7 |
| 1.902 | 47.83 | 18 |
| 1.745 | 52.44 | 3 |
| 1.553 | 59.54 | 38 |
| 1.345 | 69.97 | 12 |
| 1.286 | 73.68 | 3 |
| 1.203 | 79.74 | 16 |
| 1.098 | 89.21 | 4 |

Structural model:
```
data_Pm2ZnPb
_cell_length_a 7.6063
_cell_length_b 7.6063
_cell_length_c 7.6063
_cell_angle_alpha 90.00
_cell_angle_beta 90.00
_cell_angle_gamma 90.00
_space_group_name_H-M_alt 'P 1'
_space_group_IT_number 1
_space_group_name_Hall 'P 1'
loop_
_atom_site_label
_atom_site_type_symbol
_atom_site_fract_x
_atom_site_fract_y
_atom_site_fract_z
Pm1 Pm 0.2500 0.2500 0.2500
Pm2 Pm 0.2500 0.2500 0.7500
Pm3 Pm 0.2500 0.7500 0.2500
Pm4 Pm 0.2500 0.7500 0.7500
Pm5 Pm 0.7500 0.2500 0.2500
Pm6 Pm 0.7500 0.2500 0.7500
Pm7 Pm 0.7500 0.7500 0.2500
Pm8 Pm 0.7500 0.7500 0.7500
Zn1 Zn 0.0000 0.0000 0.0000
Zn2 Zn 0.0000 0.5000 0.5000
Zn3 Zn 0.5000 0.0000 0.5000
Zn4 Zn 0.5000 0.5000 0.0000
Pb1 Pb 0.0000 0.0000 0.5000
Pb2 Pb 0.0000 0.5000 0.0000
Pb3 Pb 0.5000 0.0000 0.0000
Pb4 Pb 0.5000 0.5000 0.5000
```

=====

# 2
This entry pairs a crystal structure of Pr5Pb4 with its computed powder XRD pattern. Radiation: a wavelength of 1.5418 Å. Structure: the PBE geometry in the Materials Project.
No peak broadening, texture or thermal motion is included.

Peak list (10 most intense, 15° ≤ 2θ ≤ 90°, in order of rising 2θ)
| d_spacing | Position (°2θ) | I_rel |
| --- | --- | --- |
| 3.146 | 28.37 | 100 |
| 3.124 | 28.57 | 43 |
| 3.030 | 29.48 | 40 |
| 2.972 | 30.06 | 38 |
| 2.878 | 31.08 | 31 |
| 2.788 | 32.10 | 60 |
| 2.725 | 32.86 | 33 |
| 2.692 | 33.28 | 95 |
| 2.655 | 33.75 | 31 |
| 2.096 | 43.17 | 29 |

Structural model:
```
data_Pr5Pb4
_cell_length_a 8.4952
_cell_length_b 16.3496
_cell_length_c 8.6482
_cell_angle_alpha 90.00
_cell_angle_beta 90.00
_cell_angle_gamma 90.00
_space_group_name_H-M_alt 'P 1'
_space_group_IT_number 1
_space_group_name_Hall 'P 1'
loop_
_atom_site_label
_atom_site_type_symbol
_atom_site_fract_x
_atom_site_fract_y
_atom_site_fract_z
Pr1 Pr 0.0305 0.1011 0.1793
Pr2 Pr 0.0305 0.3989 0.1793
Pr3 Pr 0.1234 0.6188 0.3387
Pr4 Pr 0.1234 0.8812 0.3387
Pr5 Pr 0.2079 0.2500 0.5019
Pr6 Pr 0.2921 0.7500 0.0019
Pr7 Pr 0.3766 0.1188 0.8387
Pr8 Pr 0.3766 0.3812 0.8387
Pr9 Pr 0.4695 0.6011 0.6793
Pr10 Pr 0.4695 0.8989 0.6793
Pr11 Pr 0.5305 0.1011 0.3207
Pr12 Pr 0.5305 0.3989 0.3207
Pr13 Pr 0.6234 0.6188 0.1613
Pr14 Pr 0.6234 0.8812 0.1613
Pr15 Pr 0.7079 0.2500 0.9981
Pr16 Pr 0.7921 0.7500 0.4981
Pr17 Pr 0.8766 0.1188 0.6613
Pr18 Pr 0.8766 0.3812 0.6613
Pr19 Pr 0.9695 0.6011 0.8207
Pr20 Pr 0.9695 0.8989 0.8207
Pb1 Pb 0.0743 0.2500 0.8761
Pb2 Pb 0.1622 0.7500 0.6469
Pb3 Pb 0.2182 0.0434 0.5310
Pb4 Pb 0.2182 0.4566 0.5310
Pb5 Pb 0.2818 0.5434 0.0310
Pb6 Pb 0.2818 0.9566 0.0310
Pb7 Pb 0.3378 0.2500 0.1469
Pb8 Pb 0.4257 0.7500 0.3761
Pb9 Pb 0.5743 0.2500 0.6239
Pb10 Pb 0.6622 0.7500 0.8531
Pb11 Pb 0.7182 0.0434 0.9690
Pb12 Pb 0.7182 0.4566 0.9690
Pb13 Pb 0.7818 0.5434 0.4690
Pb14 Pb 0.7818 0.9566 0.4690
Pb15 Pb 0.8378 0.2500 0.3531
Pb16 Pb 0.9257 0.7500 0.1239
```

=====

# 3
This entry pairs a crystal structure of PrPb3 with its computed powder XRD pattern. Radiation: a wavelength of 1.5418 Å. Structure: the PBE geometry in the Materials Project.
No peak broadening, texture or thermal motion is included.

Peak list (10 most intense, 15° ≤ 2θ ≤ 90°, in order of rising 2θ)
| d_spacing | Position (°2θ) | I_rel |
| --- | --- | --- |
| 4.962 | 17.88 | 2 |
| 3.508 | 25.39 | 2 |
| 2.865 | 31.22 | 100 |
| 2.481 | 36.21 | 51 |
| 1.754 | 52.14 | 37 |
| 1.496 | 62.04 | 44 |
| 1.432 | 65.13 | 13 |
| 1.240 | 76.85 | 6 |
| 1.138 | 85.26 | 19 |
| 1.109 | 88.03 | 18 |

Structural model:
```
data_PrPb3
_cell_length_a 4.9616
_cell_length_b 4.9616
_cell_length_c 4.9616
_cell_angle_alpha 90.00
_cell_angle_beta 90.00
_cell_angle_gamma 90.00
_space_group_name_H-M_alt 'P 1'
_space_group_IT_number 1
_space_group_name_Hall 'P 1'
loop_
_atom_site_label
_atom_site_type_symbol
_atom_site_fract_x
_atom_site_fract_y
_atom_site_fract_z
Pr1 Pr 0.0000 0.0000 0.0000
Pb1 Pb 0.0000 0.5000 0.5000
Pb2 Pb 0.5000 0.0000 0.5000
Pb3 Pb 0.5000 0.5000 0.0000
```

=====

# 4
This entry pairs a crystal structure of Pr2PbS4 with its computed powder XRD pattern. Radiation: a wavelength of 1.5418 Å. Structure: the PBE geometry in the Materials Project.
No peak broadening, texture or thermal motion is included.

Peak list (10 most intense, 15° ≤ 2θ ≤ 90°, in order of rising 2θ)
| d_spacing | Position (°2θ) | I_rel |
| --- | --- | --- |
| 3.569 | 24.95 | 100 |
| 2.764 | 32.39 | 84 |
| 2.337 | 38.53 | 54 |
| 1.955 | 46.46 | 38 |
| 1.864 | 48.86 | 25 |
| 1.715 | 53.43 | 28 |
| 1.419 | 65.82 | 22 |
| 1.417 | 65.93 | 13 |
| 1.349 | 69.71 | 14 |
| 1.190 | 80.74 | 19 |

Structural model:
```
data_Pr2PbS4
_cell_length_a 7.5712
_cell_length_b 7.5712
_cell_length_c 7.5712
_cell_angle_alpha 109.41
_cell_angle_beta 109.41
_cell_angle_gamma 109.59
_space_group_name_H-M_alt 'P 1'
_space_group_IT_number 1
_space_group_name_Hall 'P 1'
loop_
_atom_site_label
_atom_site_type_symbol
_atom_site_fract_x
_atom_site_fract_y
_atom_site_fract_z
Pr1 Pr 0.0075 0.6250 0.8825
Pr2 Pr 0.3750 0.2575 0.3825
Pr3 Pr 0.7425 0.1250 0.1175
Pr4 Pr 0.8750 0.9925 0.6175
Pb1 Pb 0.2500 0.7500 0.5000
Pb2 Pb 0.5000 0.5000 0.0000
S1 S 0.1139 0.3660 0.5969
S2 S 0.1160 0.3639 0.0969
S3 S 0.2671 0.0191 0.9031
S4 S 0.4829 0.8861 0.2521
S5 S 0.6340 0.2309 0.7479
S6 S 0.6361 0.7329 0.7521
S7 S 0.7691 0.5171 0.4031
S8 S 0.9809 0.8840 0.2479
```

=====

# 5
This entry pairs a crystal structure of Pr2Si2PbS8 with its computed powder XRD pattern. Radiation: a wavelength of 1.5418 Å. Structure: the PBE geometry in the Materials Project.
No peak broadening, texture or thermal motion is included.

Peak list (10 most intense, 15° ≤ 2θ ≤ 90°, in order of rising 2θ)
| d_spacing | Position (°2θ) | I_rel |
| --- | --- | --- |
| 4.498 | 19.74 | 51 |
| 4.093 | 21.71 | 100 |
| 4.068 | 21.85 | 98 |
| 4.013 | 22.15 | 94 |
| 2.629 | 34.10 | 76 |
| 2.531 | 35.47 | 51 |
| 2.506 | 35.84 | 50 |
| 2.474 | 36.31 | 48 |
| 2.284 | 39.45 | 42 |
| 2.212 | 40.79 | 51 |

Structural model:
```
data_Pr2Si2PbS8
_cell_length_a 9.0816
_cell_length_b 9.0816
_cell_length_c 10.2821
_cell_angle_alpha 114.76
_cell_angle_beta 114.76
_cell_angle_gamma 60.29
_space_group_name_H-M_alt 'P 1'
_space_group_IT_number 1
_space_group_name_Hall 'P 1'
loop_
_atom_site_label
_atom_site_type_symbol
_atom_site_fract_x
_atom_site_fract_y
_atom_site_fract_z
Pr1 Pr 0.0585 0.9415 0.5000
Pr2 Pr 0.2466 0.4373 0.9949
Pr3 Pr 0.4373 0.2466 0.4949
Pr4 Pr 0.9415 0.0585 0.0000
Si1 Si 0.1656 0.6525 0.7248
Si2 Si 0.3290 0.8461 0.2680
Si3 Si 0.6525 0.1656 0.2248
Si4 Si 0.8461 0.3290 0.7680
Pb1 Pb 0.5692 0.7486 0.9963
Pb2 Pb 0.7486 0.5692 0.4963
S1 S 0.0600 0.2729 0.6943
S2 S 0.0980 0.5866 0.4884
S3 S 0.1011 0.7857 0.1930
S4 S 0.2175 0.8852 0.8116
S5 S 0.2729 0.0600 0.1943
S6 S 0.3874 0.4318 0.7925
S7 S 0.4008 0.9308 0.5049
S8 S 0.4318 0.3874 0.2925
S9 S 0.5226 0.6136 0.1736
S10 S 0.5866 0.0980 0.9884
S11 S 0.6136 0.5226 0.6736
S12 S 0.7082 0.9647 0.3157
S13 S 0.7857 0.1011 0.6930
S14 S 0.8852 0.2175 0.3116
S15 S 0.9308 0.4008 0.0049
S16 S 0.9647 0.7082 0.8157
```

=====

# 6
This entry pairs a crystal structure of Pr2PbSe4 with its computed powder XRD pattern. Radiation: a wavelength of 1.5418 Å. Structure: the PBE geometry in the Materials Project.
No peak broadening, texture or thermal motion is included.

Peak list (10 most intense, 15° ≤ 2θ ≤ 90°, in order of rising 2θ)
| d_spacing | Position (°2θ) | I_rel |
| --- | --- | --- |
| 3.716 | 23.95 | 36 |
| 2.878 | 31.07 | 100 |
| 2.433 | 36.95 | 66 |
| 2.035 | 44.52 | 27 |
| 1.941 | 46.81 | 18 |
| 1.858 | 49.03 | 10 |
| 1.785 | 51.17 | 20 |
| 1.477 | 62.95 | 33 |
| 1.404 | 66.58 | 14 |
| 1.239 | 76.98 | 22 |

Structural model:
```
data_Pr2PbSe4
_cell_length_a 7.8826
_cell_length_b 7.8826
_cell_length_c 7.8826
_cell_angle_alpha 109.47
_cell_angle_beta 109.47
_cell_angle_gamma 109.47
_space_group_name_H-M_alt 'P 1'
_space_group_IT_number 1
_space_group_name_Hall 'P 1'
loop_
_atom_site_label
_atom_site_type_symbol
_atom_site_fract_x
_atom_site_fract_y
_atom_site_fract_z
Pr1 Pr 0.0071 0.6250 0.8821
Pr2 Pr 0.3750 0.2571 0.3821
Pr3 Pr 0.7429 0.1250 0.1179
Pr4 Pr 0.8750 0.9929 0.6179
Pb1 Pb 0.2500 0.7500 0.5000
Pb2 Pb 0.5000 0.5000 0.0000
Se1 Se 0.1161 0.3678 0.5983
Se2 Se 0.1178 0.3661 0.0983
Se3 Se 0.2679 0.0195 0.9017
Se4 Se 0.4821 0.8839 0.2517
Se5 Se 0.6322 0.2305 0.7483
Se6 Se 0.6339 0.7321 0.7517
Se7 Se 0.7695 0.5179 0.4017
Se8 Se 0.9805 0.8822 0.2483
```